The following is a computed powder XRD pattern of Rb2Pr2MgW4O16. It was derived from a crystal structure in Alexandria, relaxed with PBE+U, using CuKα.
No peak broadening, texture or thermal motion is included.

Crystal structure
Cell: 10.826 11.586 7.592 Å, 90.00 131.47 90.00°
Space group C2 (No. 5)
One atom of each set of equivalent atoms:
Rb 0.000 0.000 0.000 (multiplicity 2)
Rb 0.000 0.476 0.500 (multiplicity 2)
Pr 0.000 0.024 0.500 (multiplicity 2)
Pr 0.000 0.510 0.000 (multiplicity 2)
Mg 0.000 0.251 0.000 (multiplicity 2)
W 0.204 0.768 0.459 (multiplicity 4)
W 0.206 0.747 0.964 (multiplicity 4)
O 0.026 0.857 0.722 (multiplicity 4)
O 0.030 0.654 0.251 (multiplicity 4)
O 0.113 0.175 0.410 (multiplicity 4)
O 0.114 0.351 0.925 (multiplicity 4)
O 0.201 0.815 0.214 (multiplicity 4)
O 0.223 0.412 0.384 (multiplicity 4)
O 0.231 0.102 0.882 (multiplicity 4)
O 0.242 0.699 0.742 (multiplicity 4)

Largest 12 diffraction maxima, low angle first, 10° ≤ 2θ ≤ 90°:
hkl	2theta	I_rel
0 2 0	15.3	24
2 2 0	26.8	95
2 2 -2	28.1	100
0 4 0	30.9	32
0 0 2	31.5	32
4 0 -2	33.2	24
0 4 2	44.7	35
4 4 -2	45.9	22
4 0 -4	48.0	15
2 6 0	52.5	22
2 2 -4	54.7	22
4 4 -4	58.2	14